Diffraction record for UI3Br2. The powder XRD pattern is computed, not measured: it uses a DFT-relaxed cell (PBE, Alexandria) and CuKα.
Intensities are scaled so that the largest is 100.

a b c (Å): 8.2430 8.2430 9.5777
angles (deg): 103.45 103.45 72.91
Element x y z (fractional)
U1 0.0974 0.9026 0.7500
U2 0.9026 0.0974 0.2500
I1 0.1725 0.8236 0.0641
I2 0.1764 0.8275 0.4359
I3 0.3944 0.6056 0.7500
I4 0.6056 0.3944 0.2500
I5 0.8236 0.1725 0.5641
I6 0.8275 0.1764 0.9359
Br1 0.1211 0.2940 0.3337
Br2 0.2940 0.1211 0.8337
Br3 0.7060 0.8789 0.1663
Br4 0.8789 0.7060 0.6663

Main lines, low angle first (15° ≤ 2θ ≤ 90°):
Position (°2θ)	d_spacing	I/Imax
19.36	4.584	35
28.12	3.173	100
29.20	3.058	86
29.46	3.032	95
32.10	2.788	39
33.99	2.637	34
39.48	2.282	50
42.19	2.142	37

---

Diffraction record for Tm6Ga3Ir. The powder XRD pattern is computed, not measured: it uses a DFT-relaxed cell (PBE, Alexandria) and CuKα.
Intensities are scaled so that the largest is 100.

a b c (Å): 8.5261 4.9356 11.3640
angles (deg): 90.00 90.01 90.00
Element x y z (fractional)
Tm1 0.0044 0.0000 0.2545
Tm2 0.1593 0.5000 0.4135
Tm3 0.1793 0.5000 0.0841
Tm4 0.3207 0.0000 0.5840
Tm5 0.3406 0.0000 0.9136
Tm6 0.4954 0.5000 0.7545
Tm7 0.5046 0.5000 0.2455
Tm8 0.6594 0.0000 0.0864
Tm9 0.6793 0.0000 0.4160
Tm10 0.8207 0.5000 0.9159
Tm11 0.8407 0.5000 0.5865
Tm12 0.9956 0.0000 0.7455
Ga1 0.0000 0.0000 0.0000
Ga2 0.1614 0.5000 0.7665
Ga3 0.3385 0.0000 0.2650
Ga4 0.5000 0.5000 0.5000
Ga5 0.6615 0.0000 0.7350
Ga6 0.8386 0.5000 0.2335
Ir1 0.0000 0.0000 0.5000
Ir2 0.5000 0.5000 0.0000

Main lines, low angle first (15° ≤ 2θ ≤ 90°):
Position (°2θ)	d_spacing	I/Imax
31.56	2.835	54
31.60	2.832	22
36.46	2.465	100
38.05	2.365	45
48.95	1.861	19
53.71	1.707	17
61.77	1.502	16
62.55	1.485	15